Simulated powder XRD pattern
Compound: CaMgB6O17
Radiation: Cu Ka
Structure: a GGA-PBE-relaxed structure

Cell and atoms:
```
CaMgB6O17
1.0
12.3729 0.0000 0.0000
0.0000 6.1264 0.0000
-0.8292 0.0000 8.3741
Ca Mg B O
2 2 12 34
Direct
0.0000 0.0705 0.2500
0.0000 0.9295 0.7500
0.5000 0.5000 0.0000
0.5000 0.5000 0.5000
0.1129 0.2505 0.5499
0.1129 0.7495 0.0499
0.2643 0.0034 0.1448
0.2643 0.9966 0.6448
0.2822 0.2224 0.3995
0.2822 0.7776 0.8995
0.7178 0.2224 0.1005
0.7178 0.7776 0.6005
0.7357 0.0034 0.3552
0.7357 0.9966 0.8552
0.8871 0.2505 0.9501
0.8871 0.7495 0.4501
0.9996 0.1967 0.5298
0.0004 0.1967 0.9702
0.9996 0.8033 0.0298
0.0004 0.8033 0.4702
0.1251 0.4827 0.5898
0.1251 0.5173 0.0898
0.1626 0.2552 0.3976
0.1626 0.7448 0.8976
0.1692 0.1049 0.6718
0.1692 0.8951 0.1718
0.3076 0.1646 0.2410
0.3076 0.8354 0.7410
0.3194 0.0480 0.5137
0.3194 0.9520 0.0137
0.3451 0.4028 0.4705
0.3451 0.5972 0.9705
0.4770 0.1515 0.8119
0.4770 0.8485 0.3119
0.5000 0.4184 0.2500
0.5000 0.5816 0.7500
0.5230 0.1515 0.6881
0.5230 0.8485 0.1881
0.6549 0.4028 0.0295
0.6549 0.5972 0.5295
0.6806 0.0480 0.9863
0.6806 0.9520 0.4863
0.6924 0.1646 0.2590
0.6924 0.8354 0.7590
0.8308 0.1049 0.8282
0.8308 0.8951 0.3282
0.8374 0.2552 0.1024
0.8374 0.7448 0.6024
0.8749 0.4827 0.9102
0.8749 0.5173 0.4102
```

Most intense lines, 5 to 70 degrees two-theta, by intensity:
- 18.9°, rel. 1000
- 37.5°, rel. 718
- 19.7°, rel. 544
- 14.5°, rel. 531
- 25.8°, rel. 476
- 26.1°, rel. 458
- 16.2°, rel. 431
- 44.1°, rel. 324
- 38.8°, rel. 304
- 27.4°, rel. 268
- 23.7°, rel. 261
- 7.2°, rel. 259